For Co5Te4Br2O12, a crystal structure in OQMD, relaxed with PBE+U gives the calculated powder diffraction line list in this record (Cu Ka).
Kinematic intensities with the Lorentz-polarization factor, no thermal factor.

Peak list (6 most intense, 2θ = 5–70°, in order of rising 2θ)
2θ/deg	Rel. int.
26.6	55.5
28.5	100.0
29.0	40.1
32.5	31.3
34.1	42.4
35.9	61.6

Cell and atoms:
Unit cell a=10.315 b=10.315 c=16.260 alpha=123.31 beta=123.31 gamma=29.54
Fractional positions:
Co 0.129 0.694 0.526
Co 0.212 0.772 0.382
Co 0.228 0.788 0.118
Co 0.235 0.765 0.750
Co 0.306 0.871 0.974
Co 0.694 0.129 0.026
Co 0.765 0.235 0.250
Co 0.772 0.212 0.882
Co 0.788 0.228 0.618
Co 0.871 0.306 0.474
Te 0.144 0.560 0.120
Te 0.189 0.555 0.856
Te 0.440 0.856 0.380
Te 0.445 0.811 0.644
Te 0.555 0.189 0.356
Te 0.560 0.144 0.620
Te 0.811 0.445 0.144
Te 0.856 0.440 0.880
Br 0.081 0.433 0.397
Br 0.433 0.081 0.897
Br 0.567 0.919 0.103
Br 0.919 0.567 0.603
O 0.043 0.759 0.976
O 0.070 0.088 0.857
O 0.088 0.070 0.357
O 0.119 0.795 0.853
O 0.205 0.881 0.647
O 0.227 0.540 0.251
O 0.241 0.957 0.524
O 0.316 0.544 0.431
O 0.430 0.443 0.632
O 0.443 0.430 0.132
O 0.456 0.684 0.069
O 0.460 0.773 0.249
O 0.540 0.227 0.751
O 0.544 0.316 0.931
O 0.557 0.570 0.868
O 0.570 0.557 0.368
O 0.684 0.456 0.569
O 0.759 0.043 0.476
O 0.773 0.460 0.749
O 0.795 0.119 0.353
O 0.881 0.205 0.147
O 0.912 0.930 0.643
O 0.930 0.912 0.143
O 0.957 0.241 0.024